Theoretical powder diffractogram
Compound: TlCoC4O4
Radiation: λ = 1.5418 Å (Cu Kα)
Structure: the PBE+U geometry in OQMD
Peak positions follow from Bragg's law for the DFT cell and can differ from measured ones.

The 10 most intense peaks (15° ≤ 2θ ≤ 90°), low angle first:
two_theta, d_spacing, I_rel, (hkl)
17.5, 5.059, 34, 1 1 1
20.3, 4.381, 70, 2 0 0
22.7, 3.919, 23, 2 1 0
24.9, 3.577, 34, 2 1 1
28.8, 3.098, 45, 2 2 0
30.6, 2.921, 40, 2 2 1
32.3, 2.771, 100, 3 0 1
38.4, 2.342, 94, 3 1 2
53.3, 1.718, 63, 5 0 1
57.6, 1.600, 30, 5 2 1

Structural model:
```
data_TlCoC4O4
_chemical_formula_sum 'Tl4 Co4 C16 O16'
_symmetry_space_group_name_H-M 'P 21 3'
_symmetry_Int_Tables_number 198
_symmetry_space_group_name_Hall 'P 2ac 2ab 3'
_cell_length_a 8.7624
_cell_length_b 8.7624
_cell_length_c 8.7624
_cell_angle_alpha 90.00
_cell_angle_beta 90.00
_cell_angle_gamma 90.00
loop_
_atom_site_label
_atom_site_type_symbol
_atom_site_fract_x
_atom_site_fract_y
_atom_site_fract_z
Tl1 Tl 0.1870 0.3130 0.6870
Co1 Co 0.1972 0.6972 0.8028
C1 C 0.0822 0.5822 0.9178
C2 C 0.1096 0.3507 0.3114
O1 O 0.0049 0.5049 0.9951
O2 O 0.0209 0.8776 0.1833
```